# Mg3Zn2Au7
Calculated PXRD pattern, CuKα. Input: a structure optimized by DFT (GGA-PBE).
Lines closer than 0.1° are merged.

Crystal structure
Lattice parameters (Å, degrees): 4.9524 5.3463 9.7936 83.65 78.85 66.41
Atoms (fractional coordinates):
Mg 0.0000 0.0000 0.0000
Mg 0.0306 0.2342 0.3938
Mg 0.9694 0.7658 0.6062
Zn 0.2965 0.3375 0.8199
Zn 0.7035 0.6625 0.1801
Au 0.1356 0.7077 0.2798
Au 0.3887 0.8239 0.7564
Au 0.4706 0.2524 0.5445
Au 0.5000 0.5000 0.0000
Au 0.5294 0.7476 0.4555
Au 0.6113 0.1761 0.2436
Au 0.8644 0.2923 0.7202

Largest 8 diffraction maxima, by angle, 2θ from 5° to 70°:
d/Å  I_rel
4.477  87
4.159  98
2.447  56
2.352  92
2.348  100
2.341  61
2.277  93
2.147  77


# Mg7SnSb6
Calculated PXRD pattern, CuKα. Input: a structure optimized by DFT (GGA-PBE).
Lines closer than 0.1° are merged.

Crystal structure
Lattice parameters (Å, degrees): 8.5927 8.5927 8.5927 56.51 56.51 56.51
Atoms (fractional coordinates):
Mg 0.0000 0.0000 0.0000
Mg 0.0999 0.4664 0.7863
Mg 0.2363 0.8688 0.5315
Mg 0.4664 0.7863 0.0999
Mg 0.5315 0.2363 0.8688
Mg 0.7863 0.0999 0.4664
Mg 0.8688 0.5315 0.2363
Sn 0.3302 0.3302 0.3302
Sb 0.0920 0.7405 0.3937
Sb 0.2309 0.6018 0.9303
Sb 0.3937 0.0920 0.7405
Sb 0.6018 0.9303 0.2309
Sb 0.7405 0.3937 0.0920
Sb 0.9303 0.2309 0.6018

Largest 8 diffraction maxima, by angle, 2θ from 5° to 70°:
d/Å  I_rel
4.068  21
3.598  21
3.541  100
2.695  57
2.348  57
2.066  36
1.967  21
1.957  18